Computed powder XRD pattern
Compound: La2MgCo2Sb2Pb2O12
Radiation: CuKα
Structure: a DFT-relaxed cell (PBE+U, Alexandria)
Lines closer than 0.1° are merged.

Peak list (12 most intense, 15° ≤ 2θ ≤ 90°, by angle)
- hkl 0 1 1, 2θ = 16.80°, rel. 71
- hkl -1 1 1, 2θ = 23.80°, rel. 50
- hkl 1 -1 1, 2θ = 24.34°, rel. 34
- hkl 0 2 0, 2θ = 25.03°, rel. 47
- hkl 0 1 -2, 2θ = 27.92°, rel. 46
- hkl 0 2 -1, 2θ = 28.50°, rel. 100
- hkl 1 1 2, 2θ = 28.78°, rel. 51
- hkl 1 1 -2, 2θ = 30.31°, rel. 63
- hkl 2 0 -1, 2θ = 31.19°, rel. 32
- hkl -1 1 2, 2θ = 31.64°, rel. 50
- hkl 2 2 0, 2θ = 33.92°, rel. 51
- hkl 3 1 -2, 2θ = 50.21°, rel. 31

Cell and atoms:
Lattice parameters (Å, degrees): 6.407 7.294 7.383 86.44 88.51 77.74
Space group P1 (No. 1)
Symmetry-distinct sites (fractional):
La (0.000, 0.000, 0.000)
La (0.423, 0.732, 0.577)
Mg (0.198, 0.378, 0.022)
Co (0.326, 0.285, 0.584)
Co (0.895, 0.631, 0.280)
Sb (0.433, 0.052, 0.251)
Sb (0.934, 0.607, 0.767)
Pb (0.608, 0.499, 0.089)
Pb (0.898, 0.133, 0.486)
O (0.026, 0.654, 0.039)
O (0.028, 0.852, 0.704)
O (0.160, 0.947, 0.312)
O (0.252, 0.485, 0.743)
O (0.275, 0.319, 0.290)
O (0.326, 0.100, 0.998)
O (0.487, 0.043, 0.523)
O (0.572, 0.777, 0.265)
O (0.635, 0.714, 0.835)
O (0.718, 0.122, 0.198)
O (0.826, 0.563, 0.528)
O (0.915, 0.353, 0.898)